# 1
The following is a calculated powder diffractogram of SiO2. It was derived from a crystal structure in the Materials Project, relaxed with PBE, using Cu Ka.
No peak broadening, texture or thermal motion is included.

Most intense lines, 2θ from 10° to 90°, low angle first:
| 2θ/deg | I/Imax | h k l |
| --- | --- | --- |
| 10.49 | 394 | 1 0 1 |
| 16.03 | 1000 | 1 0 3 |
| 19.23 | 940 | 2 0 0 |
| 23.52 | 318 | 1 0 5 |
| 25.13 | 103 | 2 1 3 |
| 30.56 | 86 | 2 1 5 |
| 31.85 | 425 | 3 0 3 |
| 34.60 | 58 | 0 0 8 |
| 51.23 | 121 | 5 0 3 |
| 71.29 | 84 | 6 0 8 |

a = 9.2288 Å, b = 9.2288 Å, c = 20.7390 Å
α = 90.00°, β = 90.00°, γ = 90.00°
Space group I4_1/amd (No. 141, origin choice 2)
Asymmetric unit:
Si1 0.1690 0.0767 0.0666 x32
O1 0.0000 0.0368 0.0819 x16
O2 0.0000 0.0610 0.6911 x16
O3 0.2210 0.0000 0.0000 x16
O4 0.2299 0.0201 0.3750 x16



# 2
The following is a calculated powder diffractogram of SrO10. It was derived from a crystal structure in the Materials Project, relaxed with PBE, using Cu Ka.
No peak broadening, texture or thermal motion is included.

Most intense lines, 2θ from 10° to 90°, low angle first:
| 2θ/deg | I/Imax | h k l |
| --- | --- | --- |
| 15.39 | 783 | 1 0 0 |
| 21.83 | 827 | 1 1 0 |
| 28.07 | 587 | 1 1 1 |
| 35.84 | 1000 | 2 0 1 |
| 38.71 | 161 | 1 0 2 |
| 39.21 | 289 | 2 1 1 |
| 44.50 | 332 | 2 2 0 |
| 50.44 | 151 | 2 1 2 |
| 53.44 | 238 | 3 1 1 |
| 83.07 | 142 | 2 0 4 |

a = 5.7588 Å, b = 5.7588 Å, c = 5.0850 Å
α = 90.00°, β = 90.00°, γ = 90.00°
Space group P4/mmm (No. 123)
Asymmetric unit:
Sr1 0.0000 0.0000 0.0000 x1
O1 0.2125 0.2125 0.3742 x8
O2 0.5000 0.5000 0.1235 x2



# 3
The following is a calculated powder diffractogram of CeTa7O19. It was derived from a crystal structure in the Materials Project, relaxed with PBE, using Cu Ka.
No peak broadening, texture or thermal motion is included.

Most intense lines, 2θ from 10° to 90°, low angle first:
| 2θ/deg | I/Imax | h k l |
| --- | --- | --- |
| 16.26 | 265 | 0 0 1 |
| 17.61 | 261 | 0 4 0 |
| 26.54 | 626 | 0 6 0 |
| 28.71 | 1000 | 2 1 -1 |
| 29.74 | 396 | 1 2 1 |
| 33.58 | 472 | 1 4 -2 |
| 36.22 | 505 | 2 5 -1 |
| 50.21 | 403 | 3 0 0 |
| 54.04 | 219 | 1 10 -2 |
| 57.69 | 387 | 3 6 0 |

a = 6.2918 Å, b = 20.1498 Å, c = 6.2931 Å
α = 90.00°, β = 119.96°, γ = 90.00°
Space group P2_1 (No. 4)
Asymmetric unit:
Ce1 0.1677 0.0000 0.3342 x2
Ta1 0.1412 0.1552 0.9970 x2
Ta2 0.1414 0.8448 0.6442 x2
Ta3 0.1444 0.3448 0.0031 x2
Ta4 0.1445 0.6553 0.6414 x2
Ta5 0.1662 0.5000 0.3326 x2
Ta6 0.4970 0.3447 0.6414 x2
Ta7 0.4972 0.6552 0.3557 x2
O1 0.0802 0.0553 0.9494 x2
O2 0.0800 0.9447 0.6303 x2
O3 0.0997 0.2500 0.0000 x2
O4 0.0997 0.7499 0.5997 x2
O5 0.1309 0.4447 0.0509 x2
O6 0.1308 0.5554 0.5803 x2
O7 0.1665 0.1344 0.3333 x2
O8 0.1668 0.3417 0.3335 x2
O9 0.1668 0.6583 0.3333 x2
O10 0.1667 0.8656 0.3331 x2
O11 0.2540 0.3456 0.7572 x2
O12 0.2541 0.6544 0.9968 x2
O13 0.2571 0.1544 0.7542 x2
O14 0.2573 0.8456 0.0031 x2
O15 0.4495 0.4446 0.5801 x2
O16 0.4495 0.5554 0.3698 x2
O17 0.4968 0.1544 0.2428 x2
O18 0.4969 0.8456 0.7541 x2
O19 0.5000 0.2500 0.5997 x2



# 4
The following is a calculated powder diffractogram of YCr4Fe8. It was derived from a crystal structure in the Materials Project, relaxed with PBE, using Cu Ka.
No peak broadening, texture or thermal motion is included.

Most intense lines, 2θ from 10° to 90°, low angle first:
| 2θ/deg | I/Imax | h k l |
| --- | --- | --- |
| 30.60 | 278 | 2 1 1 |
| 37.61 | 332 | 3 0 1 |
| 43.48 | 696 | 4 0 0 |
| 43.65 | 1000 | 3 2 1 |
| 44.16 | 821 | 2 0 2 |
| 48.93 | 238 | 4 2 0 |
| 49.08 | 255 | 4 1 1 |
| 49.55 | 467 | 2 2 2 |
| 72.81 | 193 | 3 2 3 |
| 80.29 | 167 | 6 0 2 |

a = 8.3252 Å, b = 8.3252 Å, c = 4.7135 Å
α = 90.00°, β = 90.00°, γ = 90.00°
Space group I4/mmm (No. 139)
Asymmetric unit:
Y1 0.0000 0.0000 0.0000 x2
Cr1 0.0000 0.3681 0.0000 x8
Fe1 0.0000 0.2270 0.5000 x8
Fe2 0.2500 0.2500 0.2500 x8



# 5
The following is a calculated powder diffractogram of LiAuC4S4O12F12. It was derived from a crystal structure in the Materials Project, relaxed with PBE, using Cu Ka.
No peak broadening, texture or thermal motion is included.

Most intense lines, 2θ from 10° to 90°, low angle first:
| 2θ/deg | I/Imax | h k l |
| --- | --- | --- |
| 10.07 | 937 | 0 1 0 |
| 12.54 | 474 | 0 1 -1 |
| 13.49 | 384 | 0 1 1 |
| 16.76 | 493 | 1 0 0 |
| 19.07 | 410 | 1 0 1 |
| 20.70 | 1000 | 1 -1 1 |
| 21.27 | 518 | 1 1 -1 |
| 22.44 | 759 | 0 2 1 |
| 25.20 | 600 | 1 1 -2 |
| 38.58 | 444 | 1 3 -2 |

a = 5.3097 Å, b = 8.8323 Å, c = 10.7663 Å
α = 94.07°, β = 92.54°, γ = 94.10°
Space group P-1 (No. 2)
Asymmetric unit:
Li1 0.0000 0.0000 0.0000 x1
Au1 0.5000 0.5000 0.0000 x1
C1 0.1609 0.3318 0.3424 x2
C2 0.4486 0.1711 0.6812 x2
S1 0.0908 0.3407 0.1703 x2
S2 0.4761 0.1636 0.8550 x2
O1 0.0322 0.8071 0.8697 x2
O2 0.0449 0.5259 0.8446 x2
O3 0.2185 0.1500 0.8932 x2
O4 0.3579 0.9548 0.1228 x2
O5 0.3637 0.3558 0.1270 x2
O6 0.3827 0.6819 0.1046 x2
F1 0.0625 0.6838 0.6029 x2
F2 0.2908 0.4609 0.3898 x2
F3 0.2952 0.2117 0.3642 x2
F4 0.3177 0.2904 0.6526 x2
F5 0.3200 0.8153 0.3651 x2
F6 0.3229 0.0412 0.6314 x2



# 6
The following is a calculated powder diffractogram of TiF4. It was derived from a crystal structure in the Materials Project, relaxed with PBE, using Cu Ka.
No peak broadening, texture or thermal motion is included.

Most intense lines, 2θ from 10° to 90°, low angle first:
| 2θ/deg | I/Imax | h k l |
| --- | --- | --- |
| 17.48 | 1000 | 0 0 1 |
| 23.19 | 400 | 1 -1 0 |
| 24.68 | 443 | 1 1 -1 |
| 27.36 | 142 | 1 1 0 |
| 28.76 | 181 | 1 -1 1 |
| 29.61 | 134 | -1 1 1 |
| 41.22 | 106 | 1 2 -2 |
| 44.72 | 198 | -1 2 1 |
| 46.27 | 96 | 2 0 1 |
| 54.96 | 82 | 2 0 -3 |

a = 5.1726 Å, b = 5.4730 Å, c = 5.7335 Å
α = 110.50°, β = 107.01°, γ = 92.41°
Space group P1 (No. 1)
Asymmetric unit:
Ti1 0.0000 0.0000 0.0000 x1
Ti2 0.4343 0.5731 0.0014 x1
F1 0.1089 0.6376 0.7817 x1
F2 0.1752 0.1884 0.8551 x1
F3 0.3378 0.9278 0.2137 x1
F4 0.5024 0.4916 0.2809 x1
F5 0.5541 0.3887 0.7453 x1
F6 0.6863 0.9116 0.7376 x1
F7 0.7957 0.7945 0.1447 x1
F8 0.9633 0.2934 0.2362 x1



# 7
The following is a calculated powder diffractogram of RbAu. It was derived from a crystal structure in the Materials Project, relaxed with PBE, using Cu Ka.
No peak broadening, texture or thermal motion is included.

Most intense lines, 2θ from 10° to 90°, low angle first:
| 2θ/deg | I/Imax | h k l |
| --- | --- | --- |
| 21.14 | 171 | 1 0 0 |
| 30.08 | 1000 | 1 1 0 |
| 37.06 | 60 | 1 1 1 |
| 43.05 | 189 | 2 0 0 |
| 48.44 | 87 | 2 1 0 |
| 53.41 | 402 | 2 1 1 |
| 62.52 | 126 | 2 2 0 |
| 70.92 | 174 | 3 1 0 |
| 78.92 | 44 | 2 2 2 |
| 86.70 | 214 | 3 2 1 |

a = 4.2020 Å, b = 4.2020 Å, c = 4.2020 Å
α = 90.00°, β = 90.00°, γ = 90.00°
Space group Pm-3m (No. 221)
Asymmetric unit:
Rb1 0.0000 0.0000 0.0000 x1
Au1 0.5000 0.5000 0.5000 x1



# 8
The following is a calculated powder diffractogram of MoS2. It was derived from a crystal structure in the Materials Project, relaxed with PBE, using Cu Ka.
No peak broadening, texture or thermal motion is included.

Most intense lines, 2θ from 10° to 90°, low angle first:
| 2θ/deg | I/Imax | h k l |
| --- | --- | --- |
| 13.64 | 1000 | 0 0 1 |
| 32.31 | 152 | 1 0 0 |
| 35.22 | 724 | 1 0 1 |
| 42.91 | 548 | 1 0 2 |
| 53.74 | 215 | 0 1 3 |
| 57.62 | 169 | 1 1 0 |
| 59.51 | 120 | 1 1 1 |
| 69.36 | 92 | 0 2 1 |
| 74.46 | 103 | 0 2 2 |
| 85.15 | 114 | 1 1 4 |

a = 3.1994 Å, b = 3.1994 Å, c = 6.4935 Å
α = 90.00°, β = 90.00°, γ = 120.00°
Space group P-3m1 (No. 164)
Asymmetric unit:
Mo1 0.0000 0.0000 0.0000 x1
S1 0.3333 0.6667 0.7557 x2